Theoretical powder X-ray diffraction pattern
Compound: Li4Ti3V3Sb2O16
Radiation: Cu Kα (λ = 1.5418 Å)
Structure: DFT lattice parameters and positions (PBE+U)

Most intense lines, 15 to 90 degrees two-theta, low angle first:
hkl 0 0 2, 2θ 16.82, rel. 39
hkl 1 0 -1, 2θ 18.97, rel. 55
hkl 1 0 1, 2θ 19.07, rel. 100
hkl 0 1 2, 2θ 24.09, rel. 34
hkl 0 1 -3, 2θ 30.61, rel. 34
hkl 1 -1 3, 2θ 30.73, rel. 33
hkl 0 1 3, 2θ 30.79, rel. 33
hkl 1 -2 2, 2θ 34.24, rel. 34
hkl -1 2 2, 2θ 34.46, rel. 70
hkl -2 2 5, 2θ 56.33, rel. 31

Structure:
```
data_Li4Ti3V3Sb2O16
_chemical_formula_sum 'Li4 Ti3 V3 Sb2 O16'
_space_group_name_H-M_alt 'P 1'
_space_group_IT_number 1
_space_group_name_Hall 'P 1'
_cell_length_a 5.981
_cell_length_b 6.003
_cell_length_c 10.545
_cell_angle_alpha 90.38
_cell_angle_beta 90.02
_cell_angle_gamma 119.70
loop_
_atom_site_label
_atom_site_type_symbol
_atom_site_fract_x
_atom_site_fract_y
_atom_site_fract_z
_atom_site_occupancy
Li1 Li 0.000 0.000 0.000 1
Li2 Li 0.006 0.007 0.498 1
Li3 Li 0.343 0.675 0.397 1
Li4 Li 0.678 0.342 0.895 1
Ti1 Ti 0.177 0.831 0.728 1
Ti2 Ti 0.662 0.829 0.729 1
Ti3 Ti 0.831 0.660 0.233 1
V1 V 0.178 0.348 0.718 1
V2 V 0.347 0.179 0.219 1
V3 V 0.826 0.173 0.225 1
Sb1 Sb 0.338 0.671 0.021 1
Sb2 Sb 0.675 0.339 0.520 1
O1 O 0.000 0.002 0.316 1
O2 O 0.003 0.998 0.816 1
O3 O 0.026 0.528 0.820 1
O4 O 0.152 0.315 0.116 1
O5 O 0.167 0.853 0.112 1
O6 O 0.320 0.163 0.612 1
O7 O 0.352 0.694 0.617 1
O8 O 0.496 0.984 0.823 1
O9 O 0.511 0.526 0.819 1
O10 O 0.524 0.506 0.322 1
O11 O 0.535 0.027 0.319 1
O12 O 0.691 0.355 0.117 1
O13 O 0.695 0.853 0.112 1
O14 O 0.852 0.164 0.613 1
O15 O 0.854 0.698 0.610 1
O16 O 0.987 0.501 0.324 1
```

***

Theoretical powder X-ray diffraction pattern
Compound: Li6V5SbO12
Radiation: Cu Kα (λ = 1.5418 Å)
Structure: DFT lattice parameters and positions (PBE+U)

Most intense lines, 15 to 90 degrees two-theta, low angle first:
hkl 0 0 2, 2θ 17.02, rel. 100
hkl 1 3 -1, 2θ 34.48, rel. 19
hkl 2 0 -2, 2θ 35.30, rel. 12
hkl 1 3 1, 2θ 35.88, rel. 22
hkl 2 0 2, 2θ 40.47, rel. 12
hkl 1 3 -3, 2θ 41.37, rel. 23
hkl 1 3 3, 2θ 44.86, rel. 17
hkl 1 3 -5, 2θ 53.90, rel. 10
hkl 1 3 5, 2θ 58.68, rel. 10
hkl 3 3 -1, 2θ 59.84, rel. 13

Structure:
```
data_Li6V5SbO12
_chemical_formula_sum 'Li12 V10 Sb2 O24'
_space_group_name_H-M_alt 'C 1 2/m 1'
_space_group_IT_number 12
_space_group_name_Hall '-C 2y'
_cell_length_a 5.395
_cell_length_b 9.075
_cell_length_c 10.560
_cell_angle_alpha 90.00
_cell_angle_beta 99.30
_cell_angle_gamma 90.00
loop_
_atom_site_label
_atom_site_type_symbol
_atom_site_fract_x
_atom_site_fract_y
_atom_site_fract_z
_atom_site_occupancy
Li1 Li 0.236 0.000 0.211 1
Li2 Li 0.236 0.334 0.216 1
V1 V 0.000 0.170 0.000 1
V2 V 0.000 0.339 0.500 1
V3 V 0.000 0.500 0.000 1
Sb1 Sb 0.000 0.000 0.500 1
O1 O 0.118 0.000 0.891 1
O2 O 0.129 0.326 0.886 1
O3 O 0.191 0.162 0.602 1
O4 O 0.217 0.500 0.606 1
```

***

Theoretical powder X-ray diffraction pattern
Compound: Li2V3SbO8
Radiation: Cu Kα (λ = 1.5418 Å)
Structure: DFT lattice parameters and positions (PBE+U)

Most intense lines, 15 to 90 degrees two-theta, low angle first:
hkl 1 1 -1, 2θ 19.32, rel. 100
hkl 0 1 -2, 2θ 25.00, rel. 30
hkl 1 0 3, 2θ 32.42, rel. 36
hkl 2 2 0, 2θ 34.47, rel. 10
hkl 1 -1 2, 2θ 35.05, rel. 40
hkl 0 2 1, 2θ 35.70, rel. 20
hkl 0 2 -3, 2θ 44.60, rel. 18
hkl 3 2 3, 2θ 54.53, rel. 11
hkl 2 0 5, 2θ 59.16, rel. 17
hkl 2 4 0, 2θ 61.70, rel. 15

Structure:
```
data_Li2V3SbO8
_chemical_formula_sum 'Li4 V6 Sb2 O16'
_space_group_name_H-M_alt 'P 1'
_space_group_IT_number 1
_space_group_name_Hall 'P 1'
_cell_length_a 6.001
_cell_length_b 6.012
_cell_length_c 9.773
_cell_angle_alpha 89.83
_cell_angle_beta 89.91
_cell_angle_gamma 60.10
loop_
_atom_site_label
_atom_site_type_symbol
_atom_site_fract_x
_atom_site_fract_y
_atom_site_fract_z
_atom_site_occupancy
Li1 Li 0.000 0.000 0.000 1
Li2 Li 0.000 0.001 0.499 1
Li3 Li 0.334 0.334 0.087 1
Li4 Li 0.667 0.667 0.587 1
V1 V 0.171 0.170 0.776 1
V2 V 0.171 0.659 0.776 1
V3 V 0.342 0.829 0.276 1
V4 V 0.659 0.170 0.776 1
V5 V 0.829 0.830 0.276 1
V6 V 0.830 0.342 0.276 1
Sb1 Sb 0.334 0.333 0.502 1
Sb2 Sb 0.667 0.664 0.002 1
O1 O 0.000 0.000 0.683 1
O2 O 0.000 0.001 0.186 1
O3 O 0.037 0.482 0.645 1
O4 O 0.165 0.669 0.397 1
O5 O 0.169 0.165 0.398 1
O6 O 0.332 0.834 0.897 1
O7 O 0.334 0.333 0.882 1
O8 O 0.482 0.037 0.645 1
O9 O 0.482 0.482 0.644 1
O10 O 0.515 0.521 0.143 1
O11 O 0.521 0.962 0.145 1
O12 O 0.667 0.667 0.383 1
O13 O 0.669 0.169 0.397 1
O14 O 0.835 0.331 0.897 1
O15 O 0.835 0.833 0.898 1
O16 O 0.963 0.514 0.145 1
```

***

Theoretical powder X-ray diffraction pattern
Compound: Li2V3SbO8
Radiation: Cu Kα (λ = 1.5418 Å)
Structure: DFT lattice parameters and positions (PBE+U)

Most intense lines, 15 to 90 degrees two-theta, low angle first:
hkl 1 1 1, 2θ 17.83, rel. 100
hkl 2 1 0, 2θ 23.08, rel. 17
hkl 2 1 1, 2θ 25.32, rel. 10
hkl 3 1 1, 2θ 34.52, rel. 50
hkl 2 2 2, 2θ 36.11, rel. 16
hkl 4 0 0, 2θ 41.93, rel. 54
hkl 3 3 1, 2θ 45.90, rel. 13
hkl 5 1 1, 2θ 55.40, rel. 21
hkl 4 4 0, 2θ 60.80, rel. 33
hkl 5 3 1, 2θ 63.91, rel. 15

Structure:
```
data_Li2V3SbO8
_chemical_formula_sum 'Li8 V12 Sb4 O32'
_space_group_name_H-M_alt 'P 43 3 2'
_space_group_IT_number 212
_space_group_name_Hall 'P 4acd 2ab 3'
_cell_length_a 8.618
_cell_length_b 8.618
_cell_length_c 8.618
_cell_angle_alpha 90.00
_cell_angle_beta 90.00
_cell_angle_gamma 90.00
loop_
_atom_site_label
_atom_site_type_symbol
_atom_site_fract_x
_atom_site_fract_y
_atom_site_fract_z
_atom_site_occupancy
Li1 Li 0.003 0.003 0.003 1
V1 V 0.118 0.132 0.625 1
Sb1 Sb 0.125 0.875 0.375 1
O1 O 0.107 0.110 0.382 1
O2 O 0.116 0.616 0.884 1
```

***

Theoretical powder X-ray diffraction pattern
Compound: Li2V3SbO8
Radiation: Cu Kα (λ = 1.5418 Å)
Structure: DFT lattice parameters and positions (PBE+U)

Most intense lines, 15 to 90 degrees two-theta, low angle first:
hkl 1 0 1, 2θ 17.94, rel. 100
hkl 0 1 2, 2θ 20.62, rel. 10
hkl 0 1 5, 2θ 34.12, rel. 19
hkl 1 1 3, 2θ 34.58, rel. 33
hkl 2 0 2, 2θ 36.33, rel. 10
hkl 0 2 4, 2θ 41.94, rel. 48
hkl 2 1 1, 2θ 46.32, rel. 10
hkl 1 2 5, 2θ 55.45, rel. 13
hkl 2 0 8, 2θ 60.21, rel. 15
hkl 2 2 0, 2θ 61.41, rel. 14

Structure:
```
data_Li2V3SbO8
_chemical_formula_sum 'Li6 V9 Sb3 O24'
_space_group_name_H-M_alt 'R -3 m'
_space_group_IT_number 166
_space_group_name_Hall '-R 3 2"'
_cell_length_a 6.0390
_cell_length_b 6.0390
_cell_length_c 15.1983
_cell_angle_alpha 90.00
_cell_angle_beta 90.00
_cell_angle_gamma 120.00
loop_
_atom_site_label
_atom_site_type_symbol
_atom_site_fract_x
_atom_site_fract_y
_atom_site_fract_z
_atom_site_occupancy
Li1 Li 0.0000 0.0000 0.1309 1
V1 V 0.0000 0.5000 0.0000 1
Sb1 Sb 0.0000 0.0000 0.5000 1
O1 O 0.0000 0.0000 0.2658 1
O2 O 0.0316 0.5158 0.2508 1
```

***

Theoretical powder X-ray diffraction pattern
Compound: Li4V3Sb5O16
Radiation: Cu Kα (λ = 1.5418 Å)
Structure: DFT lattice parameters and positions (PBE+U)

Most intense lines, 15 to 90 degrees two-theta, low angle first:
hkl 0 0 2, 2θ 17.08, rel. 100
hkl 0 1 1, 2θ 17.82, rel. 50
hkl 1 0 -1, 2θ 18.09, rel. 63
hkl 0 1 -1, 2θ 18.25, rel. 67
hkl 1 1 -1, 2θ 18.82, rel. 65
hkl 1 1 2, 2θ 23.72, rel. 63
hkl 1 0 3, 2θ 30.62, rel. 51
hkl 1 2 2, 2θ 33.00, rel. 51
hkl 2 0 1, 2θ 33.64, rel. 97
hkl 0 0 4, 2θ 34.58, rel. 62

Structure:
```
data_Li4V3Sb5O16
_chemical_formula_sum 'Li4 V3 Sb5 O16'
_space_group_name_H-M_alt 'P 1'
_space_group_IT_number 1
_space_group_name_Hall 'P 1'
_cell_length_a 6.216
_cell_length_b 6.283
_cell_length_c 10.386
_cell_angle_alpha 88.56
_cell_angle_beta 89.96
_cell_angle_gamma 62.77
loop_
_atom_site_label
_atom_site_type_symbol
_atom_site_fract_x
_atom_site_fract_y
_atom_site_fract_z
_atom_site_occupancy
Li1 Li 0.000 0.000 0.000 1
Li2 Li 0.008 0.008 0.508 1
Li3 Li 0.312 0.365 0.410 1
Li4 Li 0.663 0.678 0.885 1
V1 V 0.173 0.680 0.725 1
V2 V 0.658 0.197 0.720 1
V3 V 0.827 0.856 0.228 1
Sb1 Sb 0.161 0.191 0.723 1
Sb2 Sb 0.331 0.846 0.223 1
Sb3 Sb 0.368 0.313 0.000 1
Sb4 Sb 0.689 0.692 0.513 1
Sb5 Sb 0.825 0.370 0.224 1
O1 O 0.026 0.495 0.824 1
O2 O 0.029 0.990 0.330 1
O3 O 0.129 0.726 0.127 1
O4 O 0.213 0.114 0.087 1
O5 O 0.289 0.890 0.625 1
O6 O 0.327 0.348 0.617 1
O7 O 0.474 0.062 0.840 1
O8 O 0.495 0.498 0.816 1
O9 O 0.497 0.523 0.321 1
O10 O 0.506 0.988 0.328 1
O11 O 0.641 0.702 0.117 1
O12 O 0.696 0.147 0.103 1
O13 O 0.843 0.867 0.616 1
O14 O 0.861 0.319 0.606 1
O15 O 0.947 0.579 0.365 1
O16 O 0.993 0.026 0.821 1
```

***

Theoretical powder X-ray diffraction pattern
Compound: Li6V3Sb3O16
Radiation: Cu Kα (λ = 1.5418 Å)
Structure: DFT lattice parameters and positions (PBE+U)

Most intense lines, 15 to 90 degrees two-theta, low angle first:
hkl 0 1 0, 2θ 16.72, rel. 14
hkl 0 0 2, 2θ 17.64, rel. 100
hkl 0 1 -1, 2θ 18.92, rel. 20
hkl 1 0 -1, 2θ 19.08, rel. 28
hkl 0 2 -1, 2θ 35.00, rel. 15
hkl -2 2 1, 2θ 35.36, rel. 30
hkl 2 0 2, 2θ 38.72, rel. 16
hkl 0 2 -3, 2θ 43.52, rel. 14
hkl -2 2 3, 2θ 43.82, rel. 28
hkl 2 -2 5, 2θ 57.75, rel. 17

Structure:
```
data_Li6V3Sb3O16
_chemical_formula_sum 'Li6 V3 Sb3 O16'
_space_group_name_H-M_alt 'P 1'
_space_group_IT_number 1
_space_group_name_Hall 'P 1'
_cell_length_a 6.037
_cell_length_b 6.101
_cell_length_c 10.057
_cell_angle_alpha 90.01
_cell_angle_beta 90.00
_cell_angle_gamma 119.65
loop_
_atom_site_label
_atom_site_type_symbol
_atom_site_fract_x
_atom_site_fract_y
_atom_site_fract_z
_atom_site_occupancy
Li1 Li 0.000 0.000 0.000 1
Li2 Li 0.003 0.006 0.628 1
Li3 Li 0.331 0.661 0.121 1
Li4 Li 0.338 0.676 0.511 1
Li5 Li 0.674 0.347 0.627 1
Li6 Li 0.679 0.359 0.118 1
V1 V 0.004 0.503 0.836 1
V2 V 0.494 0.500 0.838 1
V3 V 0.835 0.670 0.338 1
Sb1 Sb 0.332 0.167 0.337 1
Sb2 Sb 0.499 0.997 0.838 1
Sb3 Sb 0.835 0.167 0.337 1
O1 O 0.002 0.003 0.224 1
O2 O 0.153 0.850 0.441 1
O3 O 0.155 0.310 0.451 1
O4 O 0.176 0.812 0.944 1
O5 O 0.186 0.369 0.936 1
O6 O 0.335 0.669 0.726 1
O7 O 0.362 0.187 0.731 1
O8 O 0.515 0.030 0.223 1
O9 O 0.515 0.488 0.235 1
O10 O 0.636 0.812 0.944 1
O11 O 0.666 0.333 0.939 1
O12 O 0.667 0.335 0.444 1
O13 O 0.697 0.850 0.441 1
O14 O 0.817 0.632 0.741 1
O15 O 0.826 0.187 0.731 1
O16 O 0.973 0.488 0.235 1
```

***

Theoretical powder X-ray diffraction pattern
Compound: Li2V3SbO8
Radiation: Cu Kα (λ = 1.5418 Å)
Structure: DFT lattice parameters and positions (PBE+U)

Most intense lines, 15 to 90 degrees two-theta, low angle first:
hkl 1 0 1, 2θ 17.91, rel. 100
hkl 1 1 0, 2θ 20.59, rel. 10
hkl 2 1 -1, 2θ 34.08, rel. 19
hkl 0 1 3, 2θ 34.53, rel. 33
hkl 2 0 2, 2θ 36.28, rel. 10
hkl 2 2 0, 2θ 41.88, rel. 48
hkl 2 1 3, 2θ 46.24, rel. 10
hkl 3 2 1, 2θ 55.37, rel. 13
hkl 4 0 0, 2θ 60.14, rel. 15
hkl 2 2 4, 2θ 61.30, rel. 14

Structure:
```
data_Li2V3SbO8
_chemical_formula_sum 'Li4 V6 Sb2 O16'
_space_group_name_H-M_alt 'P 1 2 1'
_space_group_IT_number 3
_space_group_name_Hall 'P 2y'
_cell_length_a 6.160
_cell_length_b 6.049
_cell_length_c 8.625
_cell_angle_alpha 90.00
_cell_angle_beta 91.39
_cell_angle_gamma 90.00
loop_
_atom_site_label
_atom_site_type_symbol
_atom_site_fract_x
_atom_site_fract_y
_atom_site_fract_z
_atom_site_occupancy
Li1 Li 0.238 0.000 0.131 1
Li2 Li 0.262 0.498 0.369 1
V1 V 0.000 0.001 0.500 1
V2 V 0.250 0.249 0.750 1
V3 V 0.251 0.750 0.750 1
V4 V 0.500 0.498 0.000 1
Sb1 Sb 0.000 0.496 0.000 1
Sb2 Sb 0.500 0.003 0.500 1
O1 O 0.018 0.493 0.765 1
O2 O 0.032 0.997 0.734 1
O3 O 0.242 0.726 0.988 1
O4 O 0.245 0.274 0.994 1
O5 O 0.255 0.225 0.507 1
O6 O 0.259 0.773 0.512 1
O7 O 0.467 0.499 0.766 1
O8 O 0.483 0.006 0.735 1
```